Computed X-ray powder pattern of LaDy3Er3 for Cu Kα (λ = 1.5418 Å), from a structure optimized by DFT (GGA-PBE).
Kinematic intensities with the Lorentz-polarization factor, no thermal factor.

Most intense lines, 10° ≤ 2θ ≤ 90°, low angle first:
h k l  Position (°2θ)  intensity
2 6 -1  29.43  55.2
1 3 -2  29.73  29.4
3 3 1  31.68  91.9
4 4 0  32.66  94.9
4 0 -2  32.99  100.0
1 3 2  34.02  15.7
3 7 -1  35.76  17.0
4 0 2  47.11  17.7
3 11 1  54.95  23.1
5 1 -4  58.49  14.2
0 14 0  58.97  14.8
3 7 3  63.30  30.7

```
data_LaDy3Er3
_space_group_name_H-M_alt 'C 1 m 1'
_space_group_IT_number 8
_cell_length_a 13.412
_cell_length_b 21.934
_cell_length_c 6.618
_cell_angle_alpha 90.00
_cell_angle_beta 109.21
_cell_angle_gamma 90.00
loop_
_space_group_symop_operation_xyz
'x,y,z'
'x,-y,z'
'x+1/2,y+1/2,z'
'x+1/2,-y+1/2,z'
loop_
_atom_site_label
_atom_site_type_symbol
_atom_site_fract_x
_atom_site_fract_y
_atom_site_fract_z
_atom_site_occupancy
La1 La 0.000 0.000 0.000 1
La2 La 0.177 0.000 0.563 1
La3 La 0.412 0.412 0.387 1
Dy1 Dy 0.104 0.366 0.465 1
Dy2 Dy 0.266 0.266 0.203 1
Dy3 Dy 0.287 0.000 0.124 1
Dy4 Dy 0.357 0.357 0.838 1
Dy5 Dy 0.399 0.131 0.995 1
Dy6 Dy 0.468 0.000 0.670 1
Dy7 Dy 0.497 0.235 0.727 1
Er1 Er 0.026 0.222 0.239 1
Er2 Er 0.046 0.500 0.227 1
Er3 Er 0.128 0.127 0.941 1
Er4 Er 0.154 0.402 0.991 1
Er5 Er 0.227 0.227 0.681 1
Er6 Er 0.245 0.500 0.686 1
Er7 Er 0.320 0.124 0.435 1
```



Computed X-ray powder pattern of La7Dy4Er for Cu Kα (λ = 1.5418 Å), from a structure optimized by DFT (GGA-PBE).
Kinematic intensities with the Lorentz-polarization factor, no thermal factor.

Most intense lines, 10° ≤ 2θ ≤ 90°, low angle first:
h k l  Position (°2θ)  intensity
2 0 0  29.85  100.0
1 -2 1  29.98  49.4
1 2 2  30.12  48.9
2 0 3  34.62  67.6
-1 2 2  34.92  33.0
2 0 -3  49.72  24.3
3 2 2  49.83  24.1
1 2 5  50.14  11.8
4 0 3  59.01  21.7
2 0 6  59.15  14.4
0 4 -2  59.30  14.3
3 2 5  59.39  14.2

```
data_La7Dy4Er
_space_group_name_H-M_alt 'P -1'
_space_group_IT_number 2
_cell_length_a 6.356
_cell_length_b 7.263
_cell_length_c 9.667
_cell_angle_alpha 79.69
_cell_angle_beta 70.90
_cell_angle_gamma 89.95
loop_
_space_group_symop_operation_xyz
'x,y,z'
'-x,-y,-z'
loop_
_atom_site_label
_atom_site_type_symbol
_atom_site_fract_x
_atom_site_fract_y
_atom_site_fract_z
_atom_site_occupancy
La1 La 0.000 0.000 0.000 1
La2 La 0.001 0.336 0.666 1
La3 La 0.497 0.916 0.335 1
La4 La 0.499 0.252 0.000 1
Dy1 Dy 0.002 0.169 0.332 1
Dy2 Dy 0.496 0.583 0.667 1
Er1 Er 0.000 0.500 0.000 1
```



Computed X-ray powder pattern of La2DyEr12 for Cu Kα (λ = 1.5418 Å), from a structure optimized by DFT (GGA-PBE).
Kinematic intensities with the Lorentz-polarization factor, no thermal factor.

Most intense lines, 10° ≤ 2θ ≤ 90°, low angle first:
h k l  Position (°2θ)  intensity
1 1 2  20.86  45.2
2 0 2  28.76  71.5
2 0 3  29.89  58.2
2 0 4  31.40  86.5
1 1 7  31.98  100.0
0 0 9  32.36  57.8
2 1 3  33.06  88.9
2 1 6  38.15  67.4
2 2 0  39.78  56.7
3 1 0  44.73  33.3
3 1 9  56.26  47.6
3 3 7  67.33  32.8

```
data_La2DyEr12
_space_group_name_H-M_alt 'P 4/n b m'
_space_group_IT_number 125
_cell_length_a 6.410
_cell_length_b 6.410
_cell_length_c 24.901
_cell_angle_alpha 90.00
_cell_angle_beta 90.00
_cell_angle_gamma 90.00
loop_
_space_group_symop_operation_xyz
'x,y,z'
'-x,-y,-z'
'-y+1/2,x,z'
'y+1/2,-x,-z'
'-x+1/2,-y+1/2,z'
'x+1/2,y+1/2,-z'
'y,-x+1/2,z'
'-y,x+1/2,-z'
'x,-y+1/2,-z'
'-x,y+1/2,z'
'-y+1/2,-x+1/2,-z'
'y+1/2,x+1/2,z'
'-x+1/2,y,-z'
'x+1/2,-y,z'
'y,x,-z'
'-y,-x,z'
loop_
_atom_site_label
_atom_site_type_symbol
_atom_site_fract_x
_atom_site_fract_y
_atom_site_fract_z
_atom_site_occupancy
La1 La 0.250 0.750 0.228 1
Dy1 Dy 0.250 0.750 0.500 1
Er1 Er 0.063 0.563 0.385 1
Er2 Er 0.081 0.581 0.060 1
Er3 Er 0.250 0.250 0.159 1
Er4 Er 0.250 0.250 0.286 1
```



Computed X-ray powder pattern of La8DyEr3 for Cu Kα (λ = 1.5418 Å), from a structure optimized by DFT (GGA-PBE).
Kinematic intensities with the Lorentz-polarization factor, no thermal factor.

Most intense lines, 10° ≤ 2θ ≤ 90°, low angle first:
h k l  Position (°2θ)  intensity
1 1 0  15.47  12.3
1 1 2  21.48  20.8
0 0 4  29.86  36.7
2 0 2  30.74  30.0
1 3 2  31.23  100.0
2 2 2  34.73  20.4
0 4 2  35.32  14.5
2 2 4  43.76  14.0
3 3 2  50.17  19.8
1 3 6  53.87  17.3
2 6 0  56.41  14.1
2 6 4  65.14  17.1

```
data_La8DyEr3
_space_group_name_H-M_alt 'I 2 2 2'
_space_group_IT_number 23
_cell_length_a 6.657
_cell_length_b 11.228
_cell_length_c 11.968
_cell_angle_alpha 90.00
_cell_angle_beta 90.00
_cell_angle_gamma 90.00
loop_
_space_group_symop_operation_xyz
'x,y,z'
'-x,-y,z'
'x,-y,-z'
'-x,y,-z'
'x+1/2,y+1/2,z+1/2'
'-x+1/2,-y+1/2,z+1/2'
'x+1/2,-y+1/2,-z+1/2'
'-x+1/2,y+1/2,-z+1/2'
loop_
_atom_site_label
_atom_site_type_symbol
_atom_site_fract_x
_atom_site_fract_y
_atom_site_fract_z
_atom_site_occupancy
La1 La 0.001 0.157 0.250 1
La2 La 0.244 0.254 0.029 1
Dy1 Dy 0.000 0.000 0.500 1
Er1 Er 0.000 0.000 0.000 1
Er2 Er 0.000 0.500 0.264 1
```